MnAlW2O8: calculated XRD peak list (Cu Kα X-rays), based on a crystal structure in Alexandria, relaxed with PBE+U.
No peak broadening, texture or thermal motion is included.

Crystal structure
a b c (Å): 5.1229 5.6692 10.4876
angles (deg): 90.00 117.76 90.00
Fractional coordinates of all 24 atoms:
Mn 0.0000 0.1516 0.0000
Mn 0.0000 0.8484 0.5000
Al 0.4992 0.1575 0.5027
Al 0.4992 0.8425 0.0027
W 0.2426 0.3293 0.7470
W 0.2426 0.6707 0.2470
W 0.7429 0.3380 0.2517
W 0.7429 0.6620 0.7517
O 0.1780 0.3805 0.3583
O 0.1780 0.6195 0.8583
O 0.2559 0.1041 0.8799
O 0.2559 0.8959 0.3799
O 0.2851 0.1396 0.6027
O 0.2851 0.8604 0.1027
O 0.3223 0.3900 0.1398
O 0.3223 0.6100 0.6398
O 0.6905 0.3824 0.8543
O 0.6905 0.6176 0.3543
O 0.7004 0.1450 0.3859
O 0.7004 0.8550 0.8859
O 0.7516 0.1077 0.1239
O 0.7516 0.8923 0.6239
O 0.7959 0.3836 0.6287
O 0.7959 0.6164 0.1287

Largest 12 diffraction maxima, by intensity, 10° ≤ 2θ ≤ 90°:
2θ 30.11, I 100.0, (1 1 1); 2θ 30.69, I 95.8, (1 1 -3); 2θ 19.13, I 83.0, (0 0 2); 2θ 23.41, I 81.2, (1 1 -1); 2θ 24.79, I 69.8, (0 1 2); 2θ 36.22, I 46.3, (1 2 -1); 2θ 35.04, I 35.3, (2 0 -2); 2θ 41.50, I 34.5, (1 2 -3); 2θ 52.27, I 31.3, (0 3 2); 2θ 15.63, I 30.4, (0 1 0); 2θ 54.49, I 27.1, (1 2 -5); 2θ 53.77, I 27.0, (1 2 3)